# Dy3Sb2H2
Simulated powder diffraction line list, λ = 1.5418 Å (Cu Kα). Input: DFT lattice parameters and positions (PBE).

Atomic structure:
Cell: 6.2309 7.1181 8.2349 Å, 90.00 120.24 90.00°
Space group P2_1/c (No. 14)
One atom of each set of equivalent atoms:
Dy: 0.0000 0.0000 0.0000
Dy: 0.3557 0.0604 0.7209
Sb: 0.2313 0.6995 0.8858
H: 0.3462 0.1423 0.1638

Principal peaks in the range 10° ≤ 2θ ≤ 90°, low angle first:
2θ 28.0, d = 3.183 Å, I 852, (0 2 1); 2θ 28.3, d = 3.157 Å, I 655, (1 1 1); 2θ 31.6, d = 2.829 Å, I 1000, (2 1 -1); 2θ 32.5, d = 2.757 Å, I 382, (2 1 -2); 2θ 33.5, d = 2.674 Å, I 943, (1 2 -2); 2θ 35.1, d = 2.555 Å, I 308, (1 1 -3); 2θ 36.6, d = 2.453 Å, I 303, (1 0 2); 2θ 40.1, d = 2.250 Å, I 398, (0 1 3); 2θ 41.6, d = 2.171 Å, I 271, (1 3 0); 2θ 46.1, d = 1.968 Å, I 235, (1 3 1)